Computed PXRD pattern
Compound: ZrNp2H8
Radiation: a wavelength of 1.5418 Å
Structure: DFT lattice parameters and positions (PBE)
Neutral-atom scattering factors, no anomalous dispersion.

The 8 most intense peaks (10° ≤ 2θ ≤ 80°), low angle first:
2θ/deg	d (Å)	I_rel
15.4	5.768	23
30.3	2.954	100
31.0	2.883	96
33.7	2.663	75
39.1	2.306	26
52.5	1.743	45
57.6	1.600	32
59.0	1.566	31

Structural model:
```
11
Lattice="-1.8462 2.3061 5.7681 1.8462 -2.3061 5.7681 1.8462 2.3061 -5.7681" Properties=species:S:1:pos:R:3 pbc="T T T"
Zr 0.0000 0.0000 0.0000
Np 0.0000 0.0000 3.7658
Np 0.0000 0.0000 7.7704
H 1.8462 -1.1903 4.0717
H 1.8462 0.0000 2.3837
H 1.8462 1.1276 0.0000
H 0.0000 1.1158 1.6964
H 1.8462 1.1903 4.0717
H 0.0000 1.1785 5.7681
H 0.0000 2.3061 3.3844
H 0.0000 3.4964 1.6964
```